Structure and simulated powder XRD pattern of Na3Mn2BO6 (a structure optimized by DFT (GGA+U); Cu Kα (weighted mean of Kα1 and Kα2)).
Neutral-atom scattering factors, no anomalous dispersion.

Structure:
a = 2.9411 Å, b = 5.5598 Å, c = 9.3072 Å
α = 87.59°, β = 83.39°, γ = 74.92°
Sites, in units of the cell vectors:
Na (0.0000, 0.0000, 0.0000)
Na (0.3689, 0.0285, 0.3238)
Na (0.6311, 0.9715, 0.6762)
Mn (0.3213, 0.4635, 0.8512)
Mn (0.6787, 0.5365, 0.1488)
B (0.5000, 0.5000, 0.5000)
O (0.0512, 0.7478, 0.2110)
O (0.3006, 0.7061, 0.5609)
O (0.3099, 0.3122, 0.0948)
O (0.6901, 0.6878, 0.9052)
O (0.6994, 0.2939, 0.4391)
O (0.9488, 0.2522, 0.7890)

Most intense lines, 10° ≤ 2θ ≤ 90°, by angle:
Position (°2θ)  Rel. int.
16.51  45
19.22  33
28.98  16
32.15  14
33.36  32
33.72  100
40.20  20
41.74  52
42.84  54
53.92  18
55.47  17
56.33  15

Structure and simulated powder XRD pattern of Na6Mn2B4PO16 (a structure optimized by DFT (GGA+U); Cu Kα (weighted mean of Kα1 and Kα2)).
Neutral-atom scattering factors, no anomalous dispersion.

Structure:
a = 9.8655 Å, b = 9.8655 Å, c = 9.8655 Å
α = 60.00°, β = 60.00°, γ = 60.00°
Sites, in units of the cell vectors:
Na (0.0895, 0.0895, 0.6605)
Na (0.0895, 0.6605, 0.0895)
Na (0.0895, 0.6605, 0.6605)
Na (0.3395, 0.3395, 0.9105)
Na (0.3395, 0.9105, 0.3395)
Na (0.3395, 0.9105, 0.9105)
Na (0.6605, 0.0895, 0.0895)
Na (0.6605, 0.0895, 0.6605)
Na (0.6605, 0.6605, 0.0895)
Na (0.9105, 0.3395, 0.3395)
Na (0.9105, 0.3395, 0.9105)
Na (0.9105, 0.9105, 0.3395)
Mn (0.0000, 0.5000, 0.5000)
Mn (0.5000, 0.0000, 0.5000)
Mn (0.5000, 0.5000, 0.0000)
Mn (0.5000, 0.5000, 0.5000)
B (0.2896, 0.2896, 0.2896)
B (0.2896, 0.2896, 0.6311)
B (0.2896, 0.6311, 0.2896)
B (0.3689, 0.7104, 0.7104)
B (0.6311, 0.2896, 0.2896)
B (0.7104, 0.3689, 0.7104)
B (0.7104, 0.7104, 0.3689)
B (0.7104, 0.7104, 0.7104)
P (0.1250, 0.1250, 0.1250)
P (0.8750, 0.8750, 0.8750)
O (0.0608, 0.0608, 0.0608)
O (0.0608, 0.0608, 0.3176)
O (0.0608, 0.3176, 0.0608)
O (0.1343, 0.3184, 0.6380)
O (0.1343, 0.4094, 0.3184)
O (0.1343, 0.6380, 0.4094)
O (0.3176, 0.0608, 0.0608)
O (0.3184, 0.1343, 0.4094)
O (0.3184, 0.4094, 0.6380)
O (0.3184, 0.6380, 0.1343)
O (0.3620, 0.5906, 0.8657)
O (0.3620, 0.6816, 0.5906)
O (0.3620, 0.8657, 0.6816)
O (0.4094, 0.1343, 0.6380)
O (0.4094, 0.3184, 0.1343)
O (0.4094, 0.6380, 0.3184)
O (0.5906, 0.3620, 0.6816)
O (0.5906, 0.6816, 0.8657)
O (0.5906, 0.8657, 0.3620)
O (0.6380, 0.1343, 0.3184)
O (0.6380, 0.3184, 0.4094)
O (0.6380, 0.4094, 0.1343)
O (0.6816, 0.3620, 0.8657)
O (0.6816, 0.5906, 0.3620)
O (0.6816, 0.8657, 0.5906)
O (0.6824, 0.9392, 0.9392)
O (0.8657, 0.3620, 0.5906)
O (0.8657, 0.5906, 0.6816)
O (0.8657, 0.6816, 0.3620)
O (0.9392, 0.6824, 0.9392)
O (0.9392, 0.9392, 0.6824)
O (0.9392, 0.9392, 0.9392)

Most intense lines, 10° ≤ 2θ ≤ 90°, by angle:
Position (°2θ)  Rel. int.
10.98  44
21.12  100
22.07  26
33.37  90
36.43  58
38.16  17
43.00  18
46.48  28
52.47  15
57.18  29
57.59  16
69.72  16

Structure and simulated powder XRD pattern of Na2MnBSO7 (a structure optimized by DFT (GGA+U); Cu Kα (weighted mean of Kα1 and Kα2)).
Neutral-atom scattering factors, no anomalous dispersion.

Structure:
a = 5.3041 Å, b = 7.0649 Å, c = 9.0330 Å
α = 90.00°, β = 92.03°, γ = 90.00°
Sites, in units of the cell vectors:
Na (0.2376, 0.0045, 0.2929)
Na (0.2376, 0.4955, 0.2929)
Na (0.7624, 0.5045, 0.7071)
Na (0.7624, 0.9955, 0.7071)
Mn (0.2253, 0.7500, 0.8440)
Mn (0.7747, 0.2500, 0.1560)
B (0.2738, 0.7500, 0.5775)
B (0.7262, 0.2500, 0.4225)
S (0.2722, 0.2500, 0.9265)
S (0.7278, 0.7500, 0.0735)
O (0.0443, 0.7500, 0.6530)
O (0.1379, 0.2500, 0.0704)
O (0.2065, 0.0782, 0.8405)
O (0.2065, 0.4218, 0.8405)
O (0.2993, 0.7500, 0.4334)
O (0.4471, 0.7500, 0.0364)
O (0.4700, 0.7500, 0.6892)
O (0.5300, 0.2500, 0.3108)
O (0.5529, 0.2500, 0.9636)
O (0.7007, 0.2500, 0.5666)
O (0.7935, 0.5782, 0.1595)
O (0.7935, 0.9218, 0.1595)
O (0.8621, 0.7500, 0.9296)
O (0.9557, 0.2500, 0.3470)

Most intense lines, 10° ≤ 2θ ≤ 90°, by angle:
Position (°2θ)  Rel. int.
15.93  84
19.70  28
23.43  42
25.21  77
25.46  100
26.38  48
27.11  29
31.83  51
32.20  71
33.80  66
37.12  26
51.76  30